# 1
Starting from a crystal structure in the Materials Project, relaxed with GGA+U, the powder diffraction line list of LiCr2O4 was computed for Cu Ka.
Intensities are scaled so that the largest is 100.

Principal peaks in the range 2θ = 10–90°, low angle first:
two_theta, I (rel.)
17.91, 100
35.66, 21
35.89, 10
42.96, 38
43.18, 19
46.91, 6
56.35, 10
61.77, 9
62.88, 5
63.33, 10
66.39, 8
80.47, 5

```
data_LiCr2O4
_chemical_formula_sum 'Li2 Cr4 O8'
_cell_length_a 5.077
_cell_length_b 2.956
_cell_length_c 10.466
_cell_angle_alpha 90.00
_cell_angle_beta 108.83
_cell_angle_gamma 90.00
_space_group_name_H-M_alt 'P 1 2/c 1'
_space_group_IT_number 13
loop_
_space_group_symop_operation_xyz
'x,y,z'
'-x,-y,-z'
'-x,y,-z+1/2'
'x,-y,z+1/2'
loop_
_atom_site_label
_atom_site_fract_x
_atom_site_fract_y
_atom_site_fract_z
_atom_site_occupancy
Li1 0.000 0.003 0.250 1
Cr1 0.000 0.500 0.000 1
Cr2 0.500 0.000 0.000 1
O1 0.221 0.015 0.102 1
O2 0.248 0.500 0.394 1
```

# 2
Starting from a crystal structure in the Materials Project, relaxed with GGA+U, the powder diffraction line list of Ba2NbVO6 was computed for Cu Ka.
Intensities are scaled so that the largest is 100.

Principal peaks in the range 2θ = 10–90°, low angle first:
two_theta, I (rel.)
30.66, 51
30.81, 100
37.91, 19
43.91, 33
44.34, 16
54.54, 20
54.65, 20
54.87, 19
64.17, 20
72.56, 13
73.18, 8
88.97, 8

```
data_Ba2NbVO6
_chemical_formula_sum 'Ba8 Nb4 V4 O24'
_cell_length_a 8.245
_cell_length_b 8.250
_cell_length_c 10.035
_cell_angle_alpha 114.15
_cell_angle_beta 114.23
_cell_angle_gamma 90.16
_space_group_name_H-M_alt 'P -1'
_space_group_IT_number 2
loop_
_space_group_symop_operation_xyz
'x,y,z'
'-x,-y,-z'
loop_
_atom_site_label
_atom_site_fract_x
_atom_site_fract_y
_atom_site_fract_z
_atom_site_occupancy
Ba1 0.124 0.125 0.250 1
Ba2 0.126 0.626 0.250 1
Ba3 0.374 0.376 0.750 1
Ba4 0.375 0.875 0.750 1
Nb1 0.000 0.000 0.500 1
Nb2 0.250 0.750 0.000 1
Nb3 0.500 0.500 0.500 1
V1 0.000 0.500 0.500 1
V2 0.250 0.250 0.000 1
V3 0.500 0.000 0.500 1
O1 0.001 0.753 0.500 1
O2 0.003 0.750 0.000 1
O3 0.125 0.125 0.750 1
O4 0.125 0.625 0.750 1
O5 0.246 0.000 0.500 1
O6 0.250 0.505 0.000 1
O7 0.250 0.995 0.000 1
O8 0.254 0.501 0.500 1
O9 0.375 0.375 0.250 1
O10 0.375 0.875 0.250 1
O11 0.497 0.750 0.000 1
O12 0.500 0.253 0.500 1
```